Tb7ErSc3: simulated X-ray diffraction stick pattern (a wavelength of 1.5418 Å), based on the GGA-PBE geometry in Alexandria.
Lines closer than 0.1° are merged.

Crystal structure
a b c (Å): 8.1976 8.1976 8.1976
angles (deg): 139.24 99.12 94.82
Sites, in units of the cell vectors:
Tb 0.0000 0.0000 0.0000
Tb 0.1031 0.7920 0.3110
Tb 0.3040 0.5000 0.8040
Tb 0.4810 0.7920 0.6890
Tb 0.5190 0.2080 0.3110
Tb 0.6960 0.5000 0.1960
Tb 0.8969 0.2080 0.6890
Er 0.0000 0.5000 0.5000
Sc 0.2876 0.2876 0.0000
Sc 0.5000 0.0000 0.5000
Sc 0.7124 0.7124 0.0000

Peak list (8 most intense, 10° ≤ 2θ ≤ 80°, by angle)
| 2θ (°) | I (rel.) |
| --- | --- |
| 26.4 | 54 |
| 28.8 | 42 |
| 31.3 | 75 |
| 32.3 | 39 |
| 33.4 | 58 |
| 33.9 | 100 |
| 41.4 | 33 |
| 45.6 | 31 |


La2Cd2SiPt4: simulated X-ray diffraction stick pattern (a wavelength of 1.5418 Å), based on the GGA-PBE geometry in Alexandria.
Lines closer than 0.1° are merged.

Crystal structure
a b c (Å): 6.3524 6.3524 6.3524
angles (deg): 114.78 114.78 99.31
Sites, in units of the cell vectors:
La 0.2500 0.7500 0.5000
La 0.7500 0.2500 0.5000
Cd 0.1757 0.1757 0.0000
Cd 0.8243 0.8243 0.0000
Si 0.5000 0.5000 0.0000
Pt 0.2554 0.2554 0.5109
Pt 0.2554 0.7446 0.0000
Pt 0.7446 0.2554 0.0000
Pt 0.7446 0.7446 0.4891

Peak list (8 most intense, 10° ≤ 2θ ≤ 80°, by angle)
| 2θ (°) | I (rel.) |
| --- | --- |
| 21.6 | 9 |
| 34.1 | 100 |
| 37.1 | 51 |
| 44.0 | 9 |
| 53.5 | 18 |
| 58.9 | 16 |
| 65.0 | 31 |
| 71.7 | 9 |


Please write out number 2 again, unchanged.
La2Cd2SiPt4: simulated X-ray diffraction stick pattern (a wavelength of 1.5418 Å), based on the GGA-PBE geometry in Alexandria.
Lines closer than 0.1° are merged.

Crystal structure
a b c (Å): 6.3524 6.3524 6.3524
angles (deg): 114.78 114.78 99.31
Sites, in units of the cell vectors:
La 0.2500 0.7500 0.5000
La 0.7500 0.2500 0.5000
Cd 0.1757 0.1757 0.0000
Cd 0.8243 0.8243 0.0000
Si 0.5000 0.5000 0.0000
Pt 0.2554 0.2554 0.5109
Pt 0.2554 0.7446 0.0000
Pt 0.7446 0.2554 0.0000
Pt 0.7446 0.7446 0.4891

Peak list (8 most intense, 10° ≤ 2θ ≤ 80°, by angle)
| 2θ (°) | I (rel.) |
| --- | --- |
| 21.6 | 9 |
| 34.1 | 100 |
| 37.1 | 51 |
| 44.0 | 9 |
| 53.5 | 18 |
| 58.9 | 16 |
| 65.0 | 31 |
| 71.7 | 9 |